Entry 1:
This entry pairs a crystal structure of GeTeSe with its simulated XRD peak list. Radiation: a wavelength of 1.5418 Å. Structure: the PBE geometry in Alexandria.
Lines closer than 0.1° are merged.

Largest 6 diffraction maxima, in order of rising 2θ, 15 to 90 degrees two-theta:
| d (Å) | 2theta | intensity | (hkl) |
| --- | --- | --- | --- |
| 4.572 | 19.42 | 67 | 0 1 1 |
| 3.287 | 27.13 | 100 | 1 1 0 |
| 3.181 | 28.05 | 82 | 0 1 2 |
| 2.286 | 39.42 | 43 | 2 0 2 |
| 2.072 | 43.69 | 33 | 2 1 1 |
| 1.877 | 48.51 | 51 | 1 2 2 |

Cell and atoms:
Cell: 6.5743 6.5743 7.6705 Å, 90.00 90.00 120.00°
Space group P3_2 (No. 145)
Unique sites:
Ge 0.0192 0.4622 0.0000
Te 0.3045 0.2901 0.3952
Se 0.0538 0.6386 0.2853

---

Entry 2:
This entry pairs a crystal structure of Ge2TeSe6 with its simulated XRD peak list. Radiation: a wavelength of 1.5418 Å. Structure: the PBE geometry in Alexandria.
Lines closer than 0.1° are merged.

Largest 6 diffraction maxima, in order of rising 2θ, 15 to 90 degrees two-theta:
| d (Å) | 2theta | intensity | (hkl) |
| --- | --- | --- | --- |
| 4.004 | 22.20 | 65 | 3 1 0 |
| 3.218 | 27.72 | 100 | 1 3 1 |
| 2.796 | 32.01 | 68 | 3 3 -1 |
| 2.690 | 33.31 | 38 | 2 0 2 |
| 1.952 | 46.52 | 75 | 5 3 1 |
| 1.925 | 47.23 | 61 | 1 3 -3 |

Cell and atoms:
Cell: 12.9586 12.0501 6.5788 Å, 90.00 100.63 90.00°
Space group C2/c (No. 15)
Unique sites:
Ge 0.1958 0.0810 0.3192
Te 0.0000 0.3746 0.2500
Se 0.1160 0.4052 0.6606
Se 0.1267 0.2349 0.0966
Se 0.1301 0.0864 0.6361

---

Entry 3:
This entry pairs a crystal structure of Ge3Te2Se2 with its simulated XRD peak list. Radiation: a wavelength of 1.5418 Å. Structure: the PBE geometry in Alexandria.
Lines closer than 0.1° are merged.

Largest 6 diffraction maxima, in order of rising 2θ, 15 to 90 degrees two-theta:
| d (Å) | 2theta | intensity | (hkl) |
| --- | --- | --- | --- |
| 3.120 | 28.61 | 100 | 0 1 2 |
| 3.084 | 28.96 | 78 | 1 2 -1 |
| 3.003 | 29.75 | 78 | 2 1 0 |
| 2.447 | 36.73 | 59 | 1 1 -3 |
| 2.334 | 38.57 | 59 | 3 1 -1 |
| 2.005 | 45.22 | 65 | 1 3 1 |

Cell and atoms:
Cell: 7.5457 6.9693 7.9133 Å, 90.00 118.11 90.00°
Space group P2_1/c (No. 14)
Unique sites:
Ge 0.0000 0.0000 0.0000
Ge 0.2682 0.0462 0.7307
Te 0.1398 0.6685 0.8759
Se 0.3687 0.1547 0.1012

---

Entry 4:
This entry pairs a crystal structure of Th6Ge2Te3Se with its simulated XRD peak list. Radiation: a wavelength of 1.5418 Å. Structure: the PBE geometry in Alexandria.
Lines closer than 0.1° are merged.

Largest 6 diffraction maxima, in order of rising 2θ, 15 to 90 degrees two-theta:
| d (Å) | 2theta | intensity | (hkl) |
| --- | --- | --- | --- |
| 3.542 | 25.14 | 20 | 2 0 0 |
| 3.096 | 28.84 | 100 | 1 3 1 |
| 2.220 | 40.63 | 35 | 2 0 2 |
| 2.159 | 41.84 | 39 | 0 6 0 |
| 1.771 | 51.61 | 22 | 4 0 0 |
| 1.369 | 68.52 | 17 | 5 3 -3 |

Cell and atoms:
Cell: 7.4752 12.9637 7.7711 Å, 90.00 108.75 90.00°
Space group C2/m (No. 12)
Unique sites:
Th 0.2392 0.1670 0.2180
Th 0.2398 0.5000 0.2195
Ge 0.0000 0.3339 0.0000
Te 0.0000 0.1681 0.5000
Te 0.0000 0.5000 0.5000
Se 0.0000 0.0000 0.0000

---

Entry 5:
This entry pairs a crystal structure of Th8Ge3Te4Se with its simulated XRD peak list. Radiation: a wavelength of 1.5418 Å. Structure: the PBE geometry in Alexandria.
Lines closer than 0.1° are merged.

Largest 6 diffraction maxima, in order of rising 2θ, 15 to 90 degrees two-theta:
| d (Å) | 2theta | intensity | (hkl) |
| --- | --- | --- | --- |
| 3.551 | 25.08 | 20 | 2 0 2 |
| 3.100 | 28.80 | 100 | 0 2 4 |
| 2.218 | 40.67 | 35 | 2 0 8 |
| 2.166 | 41.70 | 39 | 2 2 0 |
| 1.776 | 51.47 | 20 | 4 0 4 |
| 1.373 | 68.31 | 18 | 2 4 4 |

Cell and atoms:
Cell: 8.6644 8.6644 22.0051 Å, 90.00 90.00 120.00°
Space group R-3m (No. 166, hexagonal axes)
Unique sites:
Th 0.0000 0.0000 0.2392
Th 0.0016 0.5008 0.7603
Ge 0.0000 0.5000 0.5000
Te 0.0000 0.0000 0.0000
Te 0.0000 0.5000 0.0000
Se 0.0000 0.0000 0.5000

---

Entry 6:
This entry pairs a crystal structure of UGeTe2Se with its simulated XRD peak list. Radiation: a wavelength of 1.5418 Å. Structure: the PBE geometry in Alexandria.
Lines closer than 0.1° are merged.

Largest 6 diffraction maxima, in order of rising 2θ, 15 to 90 degrees two-theta:
| d (Å) | 2theta | intensity | (hkl) |
| --- | --- | --- | --- |
| 3.227 | 27.64 | 67 | 1 0 3 |
| 3.035 | 29.43 | 100 | 1 1 0 |
| 2.579 | 34.78 | 47 | 1 1 3 |
| 2.424 | 37.09 | 42 | 1 0 5 |
| 2.339 | 38.48 | 72 | 1 1 4 |
| 2.146 | 42.11 | 68 | 2 0 0 |

Cell and atoms:
Cell: 4.2917 4.2917 14.6882 Å, 90.00 90.00 90.00°
Space group P4/nmm (No. 129, origin choice 2)
Unique sites:
U 0.2500 0.2500 0.1343
Ge 0.2500 0.2500 0.5906
Te 0.2500 0.2500 0.3899
Te 0.2500 0.2500 0.7919
Se 0.2500 0.7500 0.0000

---

Entry 7:
This entry pairs a crystal structure of Th3GeSe3 with its simulated XRD peak list. Radiation: a wavelength of 1.5418 Å. Structure: the PBE geometry in Alexandria.
Lines closer than 0.1° are merged.

Largest 6 diffraction maxima, in order of rising 2θ, 15 to 90 degrees two-theta:
| d (Å) | 2theta | intensity | (hkl) |
| --- | --- | --- | --- |
| 3.451 | 25.82 | 36 | 2 0 2 |
| 2.998 | 29.80 | 100 | 2 2 0 |
| 2.970 | 30.09 | 49 | 0 0 4 |
| 2.120 | 42.64 | 38 | 4 0 0 |
| 2.110 | 42.86 | 75 | 2 2 4 |
| 1.726 | 53.07 | 40 | 4 0 4 |

Cell and atoms:
Cell: 8.4801 8.4816 11.8783 Å, 90.00 90.00 90.00°
Space group Imma (No. 74)
Unique sites:
Th 0.0000 0.2500 0.0037
Th 0.2500 0.0071 0.2500
Ge 0.0000 0.2500 0.2546
Se 0.0000 0.2500 0.7466
Se 0.2477 0.0000 0.0000

---

Entry 8:
This entry pairs a crystal structure of Th7GeSe5 with its simulated XRD peak list. Radiation: a wavelength of 1.5418 Å. Structure: the PBE geometry in Alexandria.
Lines closer than 0.1° are merged.

Largest 6 diffraction maxima, in order of rising 2θ, 15 to 90 degrees two-theta:
| d (Å) | 2theta | intensity | (hkl) |
| --- | --- | --- | --- |
| 3.381 | 26.36 | 40 | 1 4 -1 |
| 3.168 | 28.17 | 85 | 0 7 1 |
| 2.987 | 29.91 | 100 | 1 2 -2 |
| 2.846 | 31.43 | 40 | 0 8 1 |
| 2.126 | 42.51 | 43 | 1 10 0 |
| 2.101 | 43.05 | 38 | 2 0 -1 |

Cell and atoms:
Cell: 4.2022 25.0912 7.0882 Å, 90.00 107.19 90.00°
Space group P2_1 (No. 4)
Unique sites:
Th 0.0265 0.0000 0.0515
Th 0.1389 0.2868 0.2777
Th 0.1390 0.7132 0.2778
Th 0.3036 0.0698 0.6077
Th 0.3039 0.9301 0.6081
Th 0.4098 0.3655 0.8198
Th 0.4101 0.6347 0.8203
Ge 0.3102 0.4999 0.6208
Se 0.0554 0.3935 0.1108
Se 0.0555 0.6064 0.1111
Se 0.2209 0.1781 0.4420
Se 0.2210 0.8219 0.4422
Se 0.4999 0.2501 0.9999

---

Entry 9:
This entry pairs a crystal structure of Th4Ge2Se with its simulated XRD peak list. Radiation: a wavelength of 1.5418 Å. Structure: the PBE geometry in Alexandria.
Lines closer than 0.1° are merged.

Largest 6 diffraction maxima, in order of rising 2θ, 15 to 90 degrees two-theta:
| d (Å) | 2theta | intensity | (hkl) |
| --- | --- | --- | --- |
| 3.701 | 24.04 | 26 | 2 1 1 |
| 2.888 | 30.97 | 51 | 1 0 3 |
| 2.864 | 31.24 | 100 | 3 1 0 |
| 2.434 | 36.93 | 31 | 2 1 3 |
| 2.423 | 37.10 | 66 | 3 1 2 |
| 1.776 | 51.46 | 26 | 4 3 1 |

Cell and atoms:
Cell: 9.0512 9.0512 9.1405 Å, 90.00 90.00 90.00°
Space group I-42d (No. 122)
Unique sites:
Th 0.0708 0.6839 0.4386
Ge 0.1223 0.7500 0.1250
Se 0.0000 0.0000 0.5000

---

Entry 10:
This entry pairs a crystal structure of Th4GeSe4 with its simulated XRD peak list. Radiation: a wavelength of 1.5418 Å. Structure: the PBE geometry in Alexandria.
Lines closer than 0.1° are merged.

Largest 6 diffraction maxima, in order of rising 2θ, 15 to 90 degrees two-theta:
| d (Å) | 2theta | intensity | (hkl) |
| --- | --- | --- | --- |
| 3.452 | 25.81 | 21 | 1 1 1 |
| 2.999 | 29.79 | 100 | 3 1 -2 |
| 2.960 | 30.20 | 47 | 2 0 2 |
| 2.126 | 42.52 | 56 | 0 2 0 |
| 2.087 | 43.36 | 35 | 5 1 0 |
| 1.726 | 53.06 | 20 | 2 2 2 |

Cell and atoms:
Cell: 13.8736 4.2492 10.4655 Å, 90.00 120.30 90.00°
Space group C2/m (No. 12)
Unique sites:
Th 0.0981 0.0000 0.4044
Th 0.2008 0.5000 0.7931
Ge 0.0000 0.5000 0.5000
Se 0.1056 0.0000 0.8985
Se 0.1884 0.5000 0.2880

---

Entry 11:
This entry pairs a crystal structure of TiGe2Se8 with its simulated XRD peak list. Radiation: a wavelength of 1.5418 Å. Structure: the PBE geometry in Alexandria.
Lines closer than 0.1° are merged.

Largest 6 diffraction maxima, in order of rising 2θ, 15 to 90 degrees two-theta:
| d (Å) | 2theta | intensity | (hkl) |
| --- | --- | --- | --- |
| 4.640 | 19.13 | 41 | 0 1 1 |
| 3.499 | 25.46 | 61 | 0 0 2 |
| 3.099 | 28.81 | 39 | 2 0 0 |
| 2.834 | 31.57 | 100 | 0 2 1 |
| 2.320 | 38.82 | 40 | 2 0 2 |
| 1.789 | 51.04 | 37 | 2 2 0 |

Cell and atoms:
Cell: 7.1573 7.1573 6.9978 Å, 90.00 90.00 120.00°
Space group P-3m1 (No. 164)
Unique sites:
Ti 0.0000 0.0000 0.0000
Ge 0.3333 0.6667 0.3307
Se 0.1405 0.2810 0.2637
Se 0.3333 0.6667 0.6683

---

Entry 12:
This entry pairs a crystal structure of Tl7GeSe6 with its simulated XRD peak list. Radiation: a wavelength of 1.5418 Å. Structure: the PBE geometry in Alexandria.
Lines closer than 0.1° are merged.

Largest 6 diffraction maxima, in order of rising 2θ, 15 to 90 degrees two-theta:
| d (Å) | 2theta | intensity | (hkl) |
| --- | --- | --- | --- |
| 3.751 | 23.72 | 100 | 0 2 4 |
| 3.154 | 28.30 | 47 | 2 2 2 |
| 3.112 | 28.69 | 65 | 1 4 1 |
| 2.935 | 30.46 | 34 | 1 2 5 |
| 2.476 | 36.27 | 30 | 2 4 2 |
| 2.231 | 40.44 | 53 | 0 0 8 |

Cell and atoms:
Cell: 7.7183 13.8552 17.8463 Å, 90.00 90.00 90.00°
Space group Ibam (No. 72)
Unique sites:
Tl 0.0000 0.0000 0.2500
Tl 0.1767 0.2995 0.1157
Tl 0.2362 0.4763 0.5000
Ge 0.0000 0.5000 0.2500
Se 0.0162 0.1732 0.5000
Se 0.1861 0.4031 0.3273